No. 1
The following is a calculated powder diffraction line list of SrYAs2S8. It was derived from a cell relaxed with PBE, using λ = 1.5418 Å (Cu Kα).
Peak positions follow from Bragg's law for the DFT cell and can differ from measured ones.

Atomic structure:
```
data_SrYAs2S8
_chemical_formula_sum 'Sr1 Y1 As2 S8'
_cell_length_a 6.104
_cell_length_b 6.104
_cell_length_c 9.296
_cell_angle_alpha 90.00
_cell_angle_beta 90.00
_cell_angle_gamma 120.00
_space_group_name_H-M_alt 'P 1'
_space_group_IT_number 1
_space_group_name_Hall 'P 1'
loop_
_atom_site_label
_atom_site_type_symbol
_atom_site_fract_x
_atom_site_fract_y
_atom_site_fract_z
Sr1 Sr 0.000 0.000 0.000
Y1 Y 0.000 0.000 0.500
As1 As 0.333 0.667 0.759
As2 As 0.667 0.333 0.241
S1 S 0.021 0.676 0.303
S2 S 0.324 0.345 0.303
S3 S 0.333 0.667 0.993
S4 S 0.345 0.021 0.697
S5 S 0.655 0.979 0.303
S6 S 0.667 0.333 0.007
S7 S 0.676 0.655 0.697
S8 S 0.979 0.324 0.697
```

Top 10 peaks for 5° ≤ 2θ ≤ 70°, most intense first:
| 2θ/deg | Rel. int. |
| --- | --- |
| 25.52 | 100 |
| 19.32 | 67 |
| 29.26 | 63 |
| 49.28 | 51 |
| 30.84 | 46 |
| 51.89 | 45 |
| 35.18 | 33 |
| 49.67 | 32 |
| 39.21 | 31 |
| 66.60 | 24 |

---

No. 2
The following is a calculated powder diffraction line list of Ac7SmTm2. It was derived from a cell relaxed with PBE, using λ = 1.5418 Å (Cu Kα).
Peak positions follow from Bragg's law for the DFT cell and can differ from measured ones.

Atomic structure:
```
data_Ac7SmTm2
_chemical_formula_sum 'Ac7 Sm1 Tm2'
_cell_length_a 9.633
_cell_length_b 9.633
_cell_length_c 6.126
_cell_angle_alpha 90.00
_cell_angle_beta 90.00
_cell_angle_gamma 116.44
_space_group_name_H-M_alt 'P 1'
_space_group_IT_number 1
_space_group_name_Hall 'P 1'
loop_
_atom_site_label
_atom_site_type_symbol
_atom_site_fract_x
_atom_site_fract_y
_atom_site_fract_z
Ac1 Ac 0.000 0.000 0.000
Ac2 Ac 0.190 0.439 0.000
Ac3 Ac 0.258 0.742 0.500
Ac4 Ac 0.439 0.190 0.000
Ac5 Ac 0.561 0.810 0.000
Ac6 Ac 0.742 0.258 0.500
Ac7 Ac 0.810 0.561 0.000
Sm1 Sm 0.500 0.500 0.500
Tm1 Tm 0.202 0.798 0.000
Tm2 Tm 0.798 0.202 0.000
```

Top 10 peaks for 5° ≤ 2θ ≤ 70°, most intense first:
| 2θ/deg | Rel. int. |
| --- | --- |
| 28.00 | 100 |
| 29.16 | 80 |
| 30.69 | 79 |
| 40.87 | 74 |
| 14.46 | 72 |
| 32.22 | 68 |
| 26.18 | 64 |
| 50.30 | 32 |
| 22.76 | 29 |
| 26.92 | 26 |

---

No. 3
The following is a calculated powder diffraction line list of AcHfTeO6. It was derived from a cell relaxed with PBE, using λ = 1.5418 Å (Cu Kα).
Peak positions follow from Bragg's law for the DFT cell and can differ from measured ones.

Atomic structure:
```
data_AcHfTeO6
_chemical_formula_sum 'Ac2 Hf2 Te2 O12'
_cell_length_a 5.535
_cell_length_b 5.535
_cell_length_c 10.698
_cell_angle_alpha 90.00
_cell_angle_beta 90.00
_cell_angle_gamma 120.00
_space_group_name_H-M_alt 'P 1'
_space_group_IT_number 1
_space_group_name_Hall 'P 1'
loop_
_atom_site_label
_atom_site_type_symbol
_atom_site_fract_x
_atom_site_fract_y
_atom_site_fract_z
Ac1 Ac 0.000 0.000 0.000
Ac2 Ac 0.000 0.000 0.500
Hf1 Hf 0.333 0.667 0.250
Hf2 Hf 0.667 0.333 0.750
Te1 Te 0.333 0.667 0.750
Te2 Te 0.667 0.333 0.250
O1 O 0.003 0.374 0.643
O2 O 0.003 0.629 0.857
O3 O 0.371 0.374 0.857
O4 O 0.371 0.997 0.643
O5 O 0.374 0.003 0.143
O6 O 0.374 0.371 0.357
O7 O 0.626 0.629 0.643
O8 O 0.626 0.997 0.857
O9 O 0.629 0.003 0.357
O10 O 0.629 0.626 0.143
O11 O 0.997 0.371 0.143
O12 O 0.997 0.626 0.357
```

Top 10 peaks for 5° ≤ 2θ ≤ 70°, most intense first:
| 2θ/deg | Rel. int. |
| --- | --- |
| 24.94 | 100 |
| 32.35 | 41 |
| 47.26 | 41 |
| 41.27 | 25 |
| 53.39 | 25 |
| 57.69 | 13 |
| 54.94 | 11 |
| 33.51 | 10 |
| 68.39 | 10 |
| 65.22 | 8 |

---

No. 4
The following is a calculated powder diffraction line list of ErFe9B4. It was derived from a cell relaxed with PBE, using λ = 1.5418 Å (Cu Kα).
Peak positions follow from Bragg's law for the DFT cell and can differ from measured ones.

Atomic structure:
```
data_ErFe9B4
_chemical_formula_sum 'Er2 Fe18 B8'
_cell_length_a 7.549
_cell_length_b 7.549
_cell_length_c 7.549
_cell_angle_alpha 122.04
_cell_angle_beta 122.04
_cell_angle_gamma 86.51
_space_group_name_H-M_alt 'P 1'
_space_group_IT_number 1
_space_group_name_Hall 'P 1'
loop_
_atom_site_label
_atom_site_type_symbol
_atom_site_fract_x
_atom_site_fract_y
_atom_site_fract_z
Er1 Er 0.248 0.248 0.000
Er2 Er 0.752 0.752 0.000
Fe1 Fe 0.000 0.500 0.500
Fe2 Fe 0.028 0.802 0.474
Fe3 Fe 0.084 0.199 0.283
Fe4 Fe 0.198 0.672 0.226
Fe5 Fe 0.199 0.916 0.115
Fe6 Fe 0.308 0.608 0.916
Fe7 Fe 0.328 0.554 0.526
Fe8 Fe 0.392 0.308 0.701
Fe9 Fe 0.446 0.972 0.774
Fe10 Fe 0.500 0.000 0.500
Fe11 Fe 0.554 0.028 0.226
Fe12 Fe 0.608 0.692 0.299
Fe13 Fe 0.672 0.446 0.474
Fe14 Fe 0.692 0.392 0.084
Fe15 Fe 0.801 0.084 0.885
Fe16 Fe 0.802 0.328 0.774
Fe17 Fe 0.916 0.801 0.717
Fe18 Fe 0.972 0.198 0.526
B1 B 0.008 0.447 0.184
B2 B 0.176 0.992 0.439
B3 B 0.263 0.824 0.816
B4 B 0.447 0.263 0.439
B5 B 0.553 0.737 0.561
B6 B 0.737 0.176 0.184
B7 B 0.824 0.008 0.561
B8 B 0.992 0.553 0.816
```

Top 10 peaks for 5° ≤ 2θ ≤ 70°, most intense first:
| 2θ/deg | Rel. int. |
| --- | --- |
| 42.39 | 100 |
| 32.57 | 20 |
| 56.23 | 20 |
| 36.82 | 19 |
| 37.03 | 16 |
| 29.33 | 13 |
| 66.51 | 13 |
| 23.61 | 11 |
| 41.07 | 11 |
| 38.93 | 11 |

---

What is the formula in the fourth record?
ErFe9B4

---

Please write out number 4 again, unchanged.
The following is a calculated powder diffraction line list of ErFe9B4. It was derived from a cell relaxed with PBE, using λ = 1.5418 Å (Cu Kα).
Peak positions follow from Bragg's law for the DFT cell and can differ from measured ones.

Atomic structure:
```
data_ErFe9B4
_chemical_formula_sum 'Er2 Fe18 B8'
_cell_length_a 7.549
_cell_length_b 7.549
_cell_length_c 7.549
_cell_angle_alpha 122.04
_cell_angle_beta 122.04
_cell_angle_gamma 86.51
_space_group_name_H-M_alt 'P 1'
_space_group_IT_number 1
_space_group_name_Hall 'P 1'
loop_
_atom_site_label
_atom_site_type_symbol
_atom_site_fract_x
_atom_site_fract_y
_atom_site_fract_z
Er1 Er 0.248 0.248 0.000
Er2 Er 0.752 0.752 0.000
Fe1 Fe 0.000 0.500 0.500
Fe2 Fe 0.028 0.802 0.474
Fe3 Fe 0.084 0.199 0.283
Fe4 Fe 0.198 0.672 0.226
Fe5 Fe 0.199 0.916 0.115
Fe6 Fe 0.308 0.608 0.916
Fe7 Fe 0.328 0.554 0.526
Fe8 Fe 0.392 0.308 0.701
Fe9 Fe 0.446 0.972 0.774
Fe10 Fe 0.500 0.000 0.500
Fe11 Fe 0.554 0.028 0.226
Fe12 Fe 0.608 0.692 0.299
Fe13 Fe 0.672 0.446 0.474
Fe14 Fe 0.692 0.392 0.084
Fe15 Fe 0.801 0.084 0.885
Fe16 Fe 0.802 0.328 0.774
Fe17 Fe 0.916 0.801 0.717
Fe18 Fe 0.972 0.198 0.526
B1 B 0.008 0.447 0.184
B2 B 0.176 0.992 0.439
B3 B 0.263 0.824 0.816
B4 B 0.447 0.263 0.439
B5 B 0.553 0.737 0.561
B6 B 0.737 0.176 0.184
B7 B 0.824 0.008 0.561
B8 B 0.992 0.553 0.816
```

Top 10 peaks for 5° ≤ 2θ ≤ 70°, most intense first:
| 2θ/deg | Rel. int. |
| --- | --- |
| 42.39 | 100 |
| 32.57 | 20 |
| 56.23 | 20 |
| 36.82 | 19 |
| 37.03 | 16 |
| 29.33 | 13 |
| 66.51 | 13 |
| 23.61 | 11 |
| 41.07 | 11 |
| 38.93 | 11 |